1.
For Pr3Dy8Er2, a structure optimized by DFT (GGA-PBE) gives the computed X-ray powder pattern in this record (λ = 1.5418 Å (Cu Kα)).

Cell and atoms:
Lattice parameters (Å, degrees): 6.3020 8.0885 17.7349 78.57 85.19 74.55
Atoms (fractional coordinates):
Pr: 0.0000 0.0000 0.0000
Pr: 0.0000 0.0000 0.5000
Pr: 0.4055 0.6271 0.2353
Pr: 0.4899 0.8226 0.6940
Pr: 0.5101 0.1774 0.3060
Pr: 0.5945 0.3729 0.7647
Dy: 0.0364 0.6103 0.7392
Dy: 0.1036 0.9385 0.3312
Dy: 0.1322 0.5403 0.0762
Dy: 0.1727 0.1485 0.8015
Dy: 0.3019 0.6886 0.8870
Dy: 0.3419 0.6203 0.5633
Dy: 0.3695 0.1991 0.5840
Dy: 0.4293 0.2305 0.9599
Dy: 0.5707 0.7695 0.0401
Dy: 0.6305 0.8009 0.4160
Dy: 0.6581 0.3797 0.4367
Dy: 0.6981 0.3114 0.1130
Dy: 0.8273 0.8515 0.1985
Dy: 0.8678 0.4597 0.9238
Dy: 0.8964 0.0615 0.6688
Dy: 0.9636 0.3897 0.2608
Er: 0.1286 0.4979 0.4159
Er: 0.2625 0.0850 0.1502
Er: 0.7375 0.9150 0.8498
Er: 0.8714 0.5021 0.5841

The 6 most intense peaks (2θ from 10° to 90°), low angle first:
two_theta	intensity	(hkl)
29.47	234	2 1 2
30.61	441	1 -2 0
30.95	661	0 1 6
31.16	1000	1 2 -3
33.78	413	2 0 -3
34.81	343	1 3 3

***

2.
For SmYPa, a structure optimized by DFT (GGA-PBE) gives the computed X-ray powder pattern in this record (λ = 1.5418 Å (Cu Kα)).

Cell and atoms:
Lattice parameters (Å, degrees): 3.4084 3.4092 15.4759 89.96 89.99 90.00
Atoms (fractional coordinates):
Sm: 0.2490 0.2491 0.4029
Sm: 0.7510 0.7509 0.5971
Y: 0.2492 0.2506 0.0926
Y: 0.7508 0.7494 0.9074
Pa: 0.2511 0.2498 0.7528
Pa: 0.7489 0.7502 0.2472

The 6 most intense peaks (2θ from 10° to 90°), low angle first:
two_theta	intensity	(hkl)
11.44	222	0 0 2
31.46	1000	1 0 -3
34.78	175	0 0 6
37.31	326	1 1 0
51.92	227	1 1 -6
63.65	269	2 1 -3

***

3.
For UMnPt6, a structure optimized by DFT (GGA-PBE) gives the computed X-ray powder pattern in this record (λ = 1.5418 Å (Cu Kα)).

Cell and atoms:
Lattice parameters (Å, degrees): 5.6990 5.6990 4.0894 90.00 90.00 90.00
Atoms (fractional coordinates):
U: 0.0000 0.0000 0.0000
Mn: 0.5000 0.5000 0.0000
Pt: 0.0000 0.5000 0.0000
Pt: 0.2512 0.2512 0.5000
Pt: 0.2512 0.7488 0.5000
Pt: 0.5000 0.0000 0.0000
Pt: 0.7488 0.2512 0.5000
Pt: 0.7488 0.7488 0.5000

The 6 most intense peaks (2θ from 10° to 90°), low angle first:
two_theta	intensity	(hkl)
38.51	1000	2 0 1
44.30	169	0 0 2
44.99	324	2 2 0
64.98	220	2 2 2
77.65	134	2 0 3
78.64	259	4 2 1

***

4.
For KUHg2Se6, a structure optimized by DFT (GGA-PBE) gives the computed X-ray powder pattern in this record (λ = 1.5418 Å (Cu Kα)).

Cell and atoms:
Lattice parameters (Å, degrees): 6.1446 7.5485 8.4762 96.82 108.91 113.31
Atoms (fractional coordinates):
K: 0.0000 0.0000 0.0000
U: 0.0602 0.5260 0.5443
Hg: 0.1867 0.1259 0.6241
Hg: 0.4351 0.8406 0.3428
Se: 0.1589 0.4112 0.8334
Se: 0.3599 0.9082 0.7788
Se: 0.5206 0.3240 0.4250
Se: 0.5960 0.6417 0.5916
Se: 0.8324 0.1112 0.3223
Se: 0.9478 0.6290 0.2367

The 6 most intense peaks (2θ from 10° to 90°), low angle first:
two_theta	intensity	(hkl)
11.51	1000	0 0 1
17.20	166	1 0 0
27.17	273	-1 2 1
30.14	205	0 2 -2
31.82	190	2 0 -1
33.04	206	2 0 -2